This entry pairs a crystal structure of Er2PuAg with its calculated X-ray diffraction stick pattern. Radiation: CuKα. Structure: the PBE geometry in Alexandria.
Neutral-atom scattering factors, no anomalous dispersion.

Unit cell a=3.501 b=3.501 c=8.589 alpha=90.00 beta=90.00 gamma=90.00
Space group P4/mmm (No. 123)
One atom of each set of equivalent atoms:
Er: 0.000 0.000 0.218 x2
Pu: 0.500 0.500 0.500 x1
Ag: 0.500 0.500 0.000 x1

The 8 most intense peaks (2θ from 10° to 80°), in order of rising 2θ:
2θ/deg  Rel. int.  (hkl)
27.5  128  1 0 1
33.0  1000  1 0 2
36.3  420  1 1 0
42.1  103  0 0 4
52.3  149  2 0 0
56.7  170  1 1 4
60.0  104  1 0 5
63.2  310  2 1 2


This entry pairs a crystal structure of ErPuAg2Te4 with its calculated X-ray diffraction stick pattern. Radiation: CuKα. Structure: the PBE geometry in Alexandria.
Neutral-atom scattering factors, no anomalous dispersion.

Unit cell a=7.572 b=7.699 c=8.391 alpha=90.00 beta=90.00 gamma=90.00
Space group I222 (No. 23)
One atom of each set of equivalent atoms:
Er: 0.000 0.000 0.000 x2
Pu: 0.000 0.000 0.500 x2
Ag: 0.000 0.500 0.332 x4
Te: 0.229 0.237 0.811 x8

The 8 most intense peaks (2θ from 10° to 80°), in order of rising 2θ:
2θ/deg  Rel. int.  (hkl)
26.9  1000  1 1 2
31.5  351  0 2 2
31.8  334  2 0 2
33.2  924  2 2 0
43.0  292  1 3 2
43.5  276  3 1 2
46.4  297  1 1 4
58.1  265  1 3 4